# 1
Starting from a crystal structure in Alexandria, relaxed with PBE, the XRD peak list of SnBi3Pb4 was calculated for Cu Kα, 1.54184 Å.

The 10 most intense peaks (15 to 90 degrees two-theta), in order of falling intensity:
| two_theta | d [Å] | Rel. int. |
| --- | --- | --- |
| 30.86 | 2.898 | 100 |
| 35.62 | 2.520 | 36 |
| 61.04 | 1.518 | 30 |
| 51.61 | 1.771 | 22 |
| 36.09 | 2.489 | 15 |
| 51.26 | 1.782 | 13 |
| 64.29 | 1.449 | 12 |
| 61.67 | 1.504 | 11 |
| 84.24 | 1.149 | 10 |
| 83.69 | 1.156 | 7 |

```
SnBi3Pb4
1.0
5.0382 0.0000 0.0000
0.0000 5.0429 4.9773
0.0000 -5.0429 4.9773
Sn Bi Pb
1 3 4
Direct
0.0000 0.0000 0.0000 Sn
0.0000 0.4982 0.4982 Bi
0.5000 0.2467 0.7518 Bi
0.5000 0.7518 0.2467 Bi
0.0000 0.4805 0.9797 Pb
0.0000 0.9797 0.4805 Pb
0.5000 0.2652 0.2652 Pb
0.5000 0.7710 0.7710 Pb
```

---

# 2
Starting from a crystal structure in Alexandria, relaxed with PBE, the XRD peak list of SnBi4Pb5 was calculated for Cu Kα, 1.54184 Å.

The 10 most intense peaks (15 to 90 degrees two-theta), in order of falling intensity:
| two_theta | d [Å] | Rel. int. |
| --- | --- | --- |
| 29.00 | 3.079 | 100 |
| 28.61 | 3.120 | 46 |
| 37.57 | 2.394 | 41 |
| 62.17 | 1.493 | 38 |
| 29.96 | 2.983 | 37 |
| 34.12 | 2.627 | 32 |
| 42.03 | 2.150 | 32 |
| 31.74 | 2.819 | 23 |
| 31.63 | 2.829 | 22 |
| 32.30 | 2.772 | 21 |

```
SnBi4Pb5
1.0
9.3594 -2.1498 0.0000
9.3594 2.1498 0.0000
-3.1505 0.0000 8.3149
Sn Bi Pb
1 4 5
Direct
0.0000 0.0000 0.0000 Sn
0.1698 0.1698 0.0194 Bi
0.4511 0.4511 0.7239 Bi
0.5489 0.5489 0.2761 Bi
0.8302 0.8302 0.9806 Bi
0.0000 0.0000 0.5000 Pb
0.2737 0.2737 0.6643 Pb
0.3599 0.3599 0.2815 Pb
0.6401 0.6401 0.7185 Pb
0.7263 0.7263 0.3357 Pb
```

---

# 3
Starting from a crystal structure in Alexandria, relaxed with PBE, the XRD peak list of Sn4BiPb was calculated for Cu Kα, 1.54184 Å.

The 10 most intense peaks (15 to 90 degrees two-theta), in order of falling intensity:
| two_theta | d [Å] | Rel. int. |
| --- | --- | --- |
| 31.43 | 2.847 | 100 |
| 34.52 | 2.598 | 81 |
| 31.14 | 2.872 | 52 |
| 36.33 | 2.473 | 44 |
| 33.28 | 2.692 | 43 |
| 31.63 | 2.829 | 42 |
| 22.23 | 4.000 | 39 |
| 37.33 | 2.409 | 35 |
| 18.72 | 4.740 | 31 |
| 35.19 | 2.551 | 31 |

```
Sn4BiPb
1.0
5.6347 -6.2127 0.0000
5.6347 6.2127 0.0000
-3.4648 0.0000 5.3910
Sn Bi Pb
8 2 2
Direct
0.1218 0.3776 0.9185 Sn
0.2195 0.7805 0.0000 Sn
0.3776 0.1218 0.9185 Sn
0.4262 0.4262 0.7077 Sn
0.5738 0.5738 0.2923 Sn
0.6224 0.8782 0.0815 Sn
0.7805 0.2195 0.0000 Sn
0.8782 0.6224 0.0815 Sn
0.2888 0.7112 0.5000 Bi
0.7112 0.2888 0.5000 Bi
0.0851 0.0851 0.3434 Pb
0.9149 0.9149 0.6566 Pb
```

---

# 4
Starting from a crystal structure in Alexandria, relaxed with PBE, the XRD peak list of SnBiPb3 was calculated for Cu Kα, 1.54184 Å.

The 10 most intense peaks (15 to 90 degrees two-theta), in order of falling intensity:
| two_theta | d [Å] | Rel. int. |
| --- | --- | --- |
| 33.35 | 2.687 | 100 |
| 33.67 | 2.662 | 53 |
| 30.48 | 2.933 | 43 |
| 29.55 | 3.023 | 25 |
| 56.02 | 1.642 | 24 |
| 42.97 | 2.105 | 19 |
| 63.47 | 1.466 | 15 |
| 62.20 | 1.493 | 14 |
| 56.23 | 1.636 | 13 |
| 61.67 | 1.504 | 12 |

```
SnBiPb3
1.0
6.0529 0.0000 0.0000
0.0000 5.8656 0.0000
-2.9199 0.0000 8.6480
Sn Bi Pb
2 2 6
Direct
0.2302 0.2500 0.3023 Sn
0.7698 0.7500 0.6977 Sn
0.4341 0.2500 0.6962 Bi
0.5659 0.7500 0.3038 Bi
0.0322 0.2500 0.9042 Pb
0.1700 0.7500 0.4976 Pb
0.3699 0.7500 0.8947 Pb
0.6301 0.2500 0.1053 Pb
0.8300 0.2500 0.5024 Pb
0.9678 0.7500 0.0958 Pb
```